Structure and simulated XRD peak list of Ba2ZnTeO6 (a GGA-PBE-relaxed structure; λ = 1.5418 Å (Cu Kα)).
Intensities are scaled so that the largest is 1000.

Largest 10 diffraction maxima, by angle, 2θ from 10° to 90°:
d (Å), 2θ (°), I/Imax
4.771, 18.60, 46
2.921, 30.60, 1000
2.491, 36.05, 18
2.385, 37.71, 57
2.066, 43.83, 309
1.687, 54.40, 396
1.461, 63.71, 189
1.306, 72.32, 174
1.193, 80.54, 63
1.104, 88.56, 212

Cell and atoms:
```
10
Lattice="0.0000 4.1315 4.1315 4.1315 0.0000 4.1315 4.1315 4.1315 0.0000" Properties=species:S:1:pos:R:3 pbc="T T T"
Ba 2.0658 2.0658 2.0658
Ba 6.1973 6.1973 6.1973
Zn 0.0000 0.0000 0.0000
Te 4.1315 4.1315 4.1315
O 4.1315 4.1315 2.1620
O 4.1315 2.1620 4.1315
O 6.1010 4.1315 4.1315
O 2.1620 4.1315 4.1315
O 4.1315 6.1010 4.1315
O 4.1315 4.1315 6.1010
```

Structure and simulated XRD peak list of Ag2Hg3 (a GGA-PBE-relaxed structure; λ = 1.5418 Å (Cu Kα)).
Intensities are scaled so that the largest is 1000.

Largest 10 diffraction maxima, by angle, 2θ from 10° to 90°:
d (Å), 2θ (°), I/Imax
2.981, 29.97, 170
2.769, 32.33, 265
2.442, 36.81, 1000
2.436, 36.89, 838
2.428, 37.02, 313
2.422, 37.11, 403
2.415, 37.23, 432
2.311, 38.97, 123
2.030, 44.63, 132
1.411, 66.23, 95

Cell and atoms:
```
50
Lattice="8.9322 0.0000 0.0000 -3.0333 8.4265 0.0000 -0.1412 -0.1481 14.6027" Properties=species:S:1:pos:R:3 pbc="T T T"
Ag 0.0000 0.0000 0.0000
Ag 8.8707 -0.0232 5.1647
Ag -1.4221 7.1472 7.2699
Ag -1.3939 7.0970 12.4940
Ag -0.0651 4.4995 2.5806
Ag 1.6967 2.7810 9.9509
Ag 1.6548 6.8821 2.6214
Ag 3.7834 1.4133 2.6152
Ag 1.6911 7.0887 7.4481
Ag 1.6559 7.0229 12.3822
Ag 2.8169 4.0184 7.2754
Ag 2.8473 4.1273 12.4547
Ag 4.5702 3.0364 0.0466
Ag 4.6219 2.9962 5.1348
Ag 5.8406 0.1799 9.8976
Ag 4.7704 7.1162 2.5865
Ag 7.5170 2.6243 9.8693
Ag 6.6436 5.6401 9.9164
Ag 7.7268 2.8508 5.0776
Ag 7.8038 2.9337 0.1673
Hg 0.1787 0.1780 10.2760
Hg 0.0768 1.6068 2.4869
Hg 0.5500 1.6073 7.5314
Hg -1.1985 7.5350 2.3465
Hg 0.8423 1.9989 12.8681
Hg 0.0231 4.6338 8.1785
Hg -0.0027 4.6573 11.5530
Hg 0.2818 5.3667 14.5114
Hg 1.7849 2.4104 4.9050
Hg 0.8250 5.2698 5.2609
Hg 0.0073 7.7276 9.7470
Hg 2.9272 0.3328 14.5339
Hg 0.2215 8.2810 5.1807
Hg 3.7561 1.3954 11.8361
Hg 2.9715 4.1994 2.6557
Hg 2.7865 5.5988 9.8497
Hg 3.3447 5.8947 0.2382
Hg 4.5720 2.9975 9.3895
Hg 3.7835 5.9986 5.2189
Hg 6.0579 0.4893 0.8456
Hg 6.1176 0.4816 4.2711
Hg 6.0768 1.3270 7.2067
Hg 4.6551 6.5389 12.1358
Hg 6.8015 0.9566 12.5677
Hg 6.0643 3.4270 2.5777
Hg 4.6558 7.1508 7.9527
Hg 5.9772 3.8176 12.2237
Hg 6.0652 4.4547 7.2249
Hg 6.3510 5.5488 0.3313
Hg 6.7837 5.6897 4.5223
```